# 1
Calculated powder diffractogram
Compound: PrGa5Pd2
Radiation: Cu Ka
Structure: a crystal structure in Alexandria, relaxed with PBE

Principal peaks in the range 2θ from 5° to 70°, by angle:
d (Å)	two_theta	intensity	hkl
3.584	24.8	11	0 2 0
3.063	29.2	13	0 1 3
2.919	30.6	41	1 1 2
2.612	34.3	100	1 0 3
2.072	43.7	56	0 2 4
2.065	43.8	18	1 3 0
2.055	44.1	28	2 0 0
1.914	47.5	19	1 3 2
1.822	50.1	10	1 0 5
1.459	63.8	28	2 2 4

Structural model:
a b c (Å): 4.1093 7.1677 10.1647
angles (deg): 90.00 90.00 90.00
Space group Immm (No. 71)
Asymmetric unit:
Pr 0.0000 0.0000 0.0000 [2 per cell]
Ga 0.0000 0.1928 0.3598 [8 per cell]
Ga 0.0000 0.5000 0.0000 [2 per cell]
Pd 0.0000 0.5000 0.2412 [4 per cell]

=====

# 2
Calculated powder diffractogram
Compound: PrGa5Pd2Pt
Radiation: Cu Ka
Structure: a crystal structure in Alexandria, relaxed with PBE

Principal peaks in the range 2θ from 5° to 70°, by angle:
d (Å)	two_theta	intensity	hkl
10.153	8.7	23	0 0 1
3.292	27.1	100	1 0 2
3.059	29.2	20	1 1 0
2.929	30.5	18	1 1 1
2.620	34.2	18	1 1 2
2.269	39.7	17	1 1 3
2.163	41.8	59	2 0 0
1.953	46.5	75	1 1 4
1.808	50.5	36	2 1 2
1.529	60.5	20	2 2 0

Structural model:
a b c (Å): 4.3254 4.3254 10.1533
angles (deg): 90.00 90.00 90.00
Space group P4/mmm (No. 123)
Asymmetric unit:
Pr 0.0000 0.0000 0.0000 [1 per cell]
Ga 0.0000 0.5000 0.3541 [4 per cell]
Ga 0.5000 0.5000 0.0000 [1 per cell]
Pd 0.5000 0.5000 0.2310 [2 per cell]
Pt 0.0000 0.0000 0.5000 [1 per cell]

=====

# 3
Calculated powder diffractogram
Compound: PrGa2SiPd4
Radiation: Cu Ka
Structure: a crystal structure in Alexandria, relaxed with PBE

Principal peaks in the range 2θ from 5° to 70°, by angle:
d (Å)	two_theta	intensity	hkl
3.053	29.3	29	0 1 5
2.656	33.8	70	1 0 7
2.474	36.3	54	0 1 8
2.198	41.1	10	0 0 12
2.161	41.8	100	1 1 0
2.019	44.9	15	0 1 11
1.676	54.8	17	0 2 7
1.628	56.5	15	2 0 8
1.541	60.0	18	1 1 12
1.364	68.8	15	1 1 15

Structural model:
a b c (Å): 4.3228 4.3228 26.3757
angles (deg): 90.00 90.00 120.00
Space group R-3m (No. 166, hexagonal axes)
Asymmetric unit:
Pr 0.0000 0.0000 0.0000 [3 per cell]
Ga 0.0000 0.0000 0.2495 [6 per cell]
Si 0.0000 0.0000 0.5000 [3 per cell]
Pd 0.0000 0.0000 0.1389 [6 per cell]
Pd 0.0000 0.0000 0.4092 [6 per cell]

=====

# 4
Calculated powder diffractogram
Compound: Pr2GaSiPd6
Radiation: Cu Ka
Structure: a crystal structure in Alexandria, relaxed with PBE

Principal peaks in the range 2θ from 5° to 70°, by angle:
d (Å)	two_theta	intensity	hkl
8.153	10.9	24	0 0 1
3.297	27.0	26	1 0 2
3.181	28.0	39	1 2 1
2.986	29.9	89	0 2 2
2.636	34.0	35	1 2 2
2.362	38.1	100	2 2 0
2.310	39.0	80	2 0 2
2.193	41.2	62	0 4 0
2.136	42.3	64	1 2 3
1.591	58.0	49	2 4 2

Structural model:
a b c (Å): 5.6067 8.7739 8.1526
angles (deg): 90.00 90.00 90.00
Space group Pmmn (No. 59, origin choice 2)
Asymmetric unit:
Pr 0.2500 0.0055 0.2305 [4 per cell]
Ga 0.2500 0.7500 0.7694 [2 per cell]
Si 0.2500 0.2500 0.7416 [2 per cell]
Pd 0.0003 0.2500 0.9774 [4 per cell]
Pd 0.0018 0.7500 0.5028 [4 per cell]
Pd 0.2500 0.0009 0.6122 [4 per cell]

=====

# 5
Calculated powder diffractogram
Compound: Pr2TiGa4Pd3
Radiation: Cu Ka
Structure: a crystal structure in Alexandria, relaxed with PBE

Principal peaks in the range 2θ from 5° to 70°, by angle:
d (Å)	two_theta	intensity	hkl
2.993	29.9	21	1 1 0
2.786	32.1	71	1 0 3
2.634	34.0	100	1 1 2
2.116	42.7	60	2 0 0
2.035	44.5	16	1 1 4
1.967	46.2	39	1 0 5
1.685	54.5	35	2 1 3
1.574	58.6	11	1 1 6
1.496	62.0	19	2 2 0
1.441	64.7	28	2 1 5

Structural model:
a b c (Å): 4.2323 4.2323 11.1054
angles (deg): 90.00 90.00 90.00
Space group P-4m2 (No. 115)
Asymmetric unit:
Pr 0.0000 0.5000 0.2484 [2 per cell]
Ti 0.0000 0.0000 0.5000 [1 per cell]
Ga 0.0000 0.0000 0.0000 [1 per cell]
Ga 0.0000 0.5000 0.6423 [2 per cell]
Ga 0.5000 0.5000 0.0000 [1 per cell]
Pd 0.0000 0.5000 0.8703 [2 per cell]
Pd 0.5000 0.5000 0.5000 [1 per cell]

=====

# 6
Calculated powder diffractogram
Compound: Ga2Pd5Pt12
Radiation: Cu Ka
Structure: a crystal structure in Alexandria, relaxed with PBE

Principal peaks in the range 2θ from 5° to 70°, by angle:
d (Å)	two_theta	intensity	hkl
3.530	25.2	97	0 0 2
2.700	33.2	47	2 2 1
2.319	38.8	62	1 3 -1
2.253	40.0	74	5 1 0
2.232	40.4	61	1 3 1
2.215	40.7	45	5 1 -2
2.172	41.6	100	2 2 2
2.093	43.2	78	1 1 3
2.052	44.1	45	4 2 1
1.936	46.9	69	3 3 -2

Structural model:
a b c (Å): 12.4322 7.3597 7.4163
angles (deg): 90.00 107.84 90.00
Space group C2/m (No. 12)
Asymmetric unit:
Ga 0.0000 0.2041 0.0000 [4 per cell]
Pd 0.0000 0.5000 0.5000 [2 per cell]
Pd 0.1850 0.0000 0.6298 [4 per cell]
Pd 0.1912 0.0000 0.9996 [4 per cell]
Pt 0.0108 0.0000 0.2910 [4 per cell]
Pt 0.0726 0.5000 0.1945 [4 per cell]
Pt 0.1191 0.3150 0.7929 [8 per cell]
Pt 0.1970 0.1937 0.3201 [8 per cell]

=====

# 7
Calculated powder diffractogram
Compound: Ga2Pd2Pt7
Radiation: Cu Ka
Structure: a crystal structure in Alexandria, relaxed with PBE

Principal peaks in the range 2θ from 5° to 70°, by angle:
d (Å)	two_theta	intensity	hkl
2.950	30.3	87	2 2 0
2.527	35.5	36	0 0 2
2.427	37.0	69	1 1 -2
2.405	37.4	35	2 0 -2
2.278	39.6	100	4 0 0
2.185	41.3	87	1 3 1
2.068	43.8	32	3 1 -2
2.042	44.4	26	2 2 -2
1.911	47.6	72	3 3 -1
1.427	65.4	28	1 3 -3

Structural model:
a b c (Å): 9.2725 7.7394 5.1405
angles (deg): 90.00 100.56 90.00
Space group C2/m (No. 12)
Asymmetric unit:
Ga 0.2323 0.0000 0.2520 [4 per cell]
Pd 0.0000 0.1846 0.0000 [4 per cell]
Pt 0.0000 0.0000 0.5000 [2 per cell]
Pt 0.0167 0.5000 0.2601 [4 per cell]
Pt 0.2297 0.1849 0.7391 [8 per cell]

=====

# 8
Calculated powder diffractogram
Compound: Ga4PdPt7
Radiation: Cu Ka
Structure: a crystal structure in Alexandria, relaxed with PBE

Principal peaks in the range 2θ from 5° to 70°, by angle:
d (Å)	two_theta	intensity	hkl
3.286	27.1	90	1 1 -2
2.667	33.6	55	4 0 -1
2.534	35.4	42	4 0 -3
2.427	37.0	97	0 2 0
2.231	40.4	29	2 0 -4
2.179	41.4	100	3 1 1
1.977	45.9	43	5 1 -3
1.922	47.3	39	1 1 -4
1.795	50.9	38	4 2 -1
1.753	52.2	31	4 2 -3

Structural model:
a b c (Å): 11.0976 4.8546 9.0480
angles (deg): 90.00 123.14 90.00
Space group C2/m (No. 12)
Asymmetric unit:
Ga 0.0841 0.0000 0.2793 [4 per cell]
Ga 0.2312 0.0000 0.8270 [4 per cell]
Pd 0.0000 0.5000 0.5000 [2 per cell]
Pt 0.0000 0.0000 0.5000 [2 per cell]
Pt 0.0782 0.5000 0.8412 [4 per cell]
Pt 0.1380 0.0000 0.0394 [4 per cell]
Pt 0.2082 0.5000 0.3971 [4 per cell]

=====

# 9
Calculated powder diffractogram
Compound: GaPd6Pt
Radiation: Cu Ka
Structure: a crystal structure in Alexandria, relaxed with PBE

Principal peaks in the range 2θ from 5° to 70°, by angle:
d (Å)	two_theta	intensity	hkl
4.425	20.1	7	1 1 -1
2.590	34.6	9	2 2 -1
2.538	35.4	39	2 0 -2
2.259	39.9	100	2 2 0
2.213	40.8	17	0 0 2
1.989	45.6	26	0 2 2
1.984	45.7	13	3 1 -2
1.688	54.3	15	1 1 2
1.686	54.4	7	3 3 -2
1.493	62.2	10	1 3 2

Structural model:
a b c (Å): 6.3163 9.0381 5.3654
angles (deg): 90.00 124.32 90.00
Space group C2/m (No. 12)
Asymmetric unit:
Ga 0.0000 0.0000 0.0000 [2 per cell]
Pd 0.0118 0.5000 0.7597 [4 per cell]
Pd 0.2441 0.2443 0.2480 [8 per cell]
Pt 0.0000 0.0000 0.5000 [2 per cell]

=====

# 10
Calculated powder diffractogram
Compound: GaPd2Pt6
Radiation: Cu Ka
Structure: a crystal structure in Alexandria, relaxed with PBE

Principal peaks in the range 2θ from 5° to 70°, by angle:
d (Å)	two_theta	intensity	hkl
7.278	12.2	18	0 0 1
2.274	39.6	84	2 2 2
2.263	39.8	84	2 -1 0
2.254	40.0	81	1 0 -3
2.207	40.9	71	1 3 -1
1.953	46.5	52	3 2 -1
1.945	46.7	100	0 3 2
1.396	67.1	18	4 1 2
1.389	67.4	18	1 2 5
1.387	67.5	18	-3 1 3

Structural model:
a b c (Å): 6.2231 7.1977 7.3130
angles (deg): 84.66 89.32 65.12
Space group P-1 (No. 2)
Asymmetric unit:
Ga 0.2479 0.0704 0.4226 [2 per cell]
Pd 0.1132 0.7133 0.3879 [2 per cell]
Pd 0.3656 0.2503 0.1386 [2 per cell]
Pt 0.0746 0.6444 0.0239 [2 per cell]
Pt 0.1623 0.8627 0.7141 [2 per cell]
Pt 0.2240 0.9426 0.0820 [2 per cell]
Pt 0.3204 0.1605 0.7829 [2 per cell]
Pt 0.4436 0.3226 0.4834 [2 per cell]
Pt 0.4623 0.4601 0.8177 [2 per cell]

=====

# 11
Calculated powder diffractogram
Compound: Ga2PdPt4
Radiation: Cu Ka
Structure: a crystal structure in Alexandria, relaxed with PBE

Principal peaks in the range 2θ from 5° to 70°, by angle:
d (Å)	two_theta	intensity	hkl
3.840	23.2	25	0 2 0
2.748	32.6	29	1 0 2
2.427	37.0	10	0 3 1
2.235	40.4	100	1 2 2
2.067	43.8	11	1 3 1
1.972	46.0	20	2 0 0
1.920	47.3	13	0 4 0
1.915	47.5	15	0 0 4
1.714	53.5	9	0 2 4
1.374	68.3	10	2 0 4

Structural model:
a b c (Å): 3.9431 7.6812 7.6619
angles (deg): 90.00 90.00 90.00
Space group Amm2 (No. 38)
Asymmetric unit:
Ga 0.0000 0.0000 0.0000 [2 per cell]
Ga 0.0000 0.0000 0.4548 [2 per cell]
Pd 0.5000 0.0000 0.6783 [2 per cell]
Pt 0.0000 0.2445 0.2320 [4 per cell]
Pt 0.5000 0.2119 0.9763 [4 per cell]

=====

# 12
Calculated powder diffractogram
Compound: GaPd14Pt
Radiation: Cu Ka
Structure: a crystal structure in Alexandria, relaxed with PBE

Principal peaks in the range 2θ from 5° to 70°, by angle:
d (Å)	two_theta	intensity	hkl
2.333	38.6	45	1 2 2
2.326	38.7	23	1 0 4
2.284	39.5	55	4 0 0
2.134	42.4	100	2 2 2
2.128	42.5	47	2 0 4
1.891	48.1	24	3 2 2
1.887	48.2	13	3 0 4
1.456	63.9	15	5 0 4
1.395	67.1	11	0 4 0
1.390	67.4	22	0 2 6

Structural model:
a b c (Å): 9.1357 5.5792 9.6193
angles (deg): 90.00 90.00 90.00
Space group Amm2 (No. 38)
Asymmetric unit:
Ga 0.0000 0.0000 0.0000 [2 per cell]
Pd 0.0000 0.2491 0.2524 [4 per cell]
Pd 0.2460 0.2480 0.0828 [8 per cell]
Pd 0.2476 0.0000 0.8348 [4 per cell]
Pd 0.2513 0.0000 0.3340 [4 per cell]
Pd 0.5000 0.0000 0.1657 [2 per cell]
Pd 0.5000 0.0000 0.6656 [2 per cell]
Pd 0.5000 0.2493 0.9162 [4 per cell]
Pt 0.0000 0.0000 0.5006 [2 per cell]